The following is a theoretical powder X-ray diffraction pattern of NaDyTeSe. It was derived from a PBE-relaxed structure, using CuKα.
Peak positions follow from Bragg's law for the DFT cell and can differ from measured ones.

Crystal structure
a = 4.2428 Å, b = 4.2428 Å, c = 22.8725 Å
α = 90.00°, β = 90.00°, γ = 120.00°
Space group R3m (No. 160, hexagonal axes)
One atom of each set of equivalent atoms:
1 Na 0.0000 0.0000 0.0000 x3
2 Dy 0.0000 0.0000 0.1607 x3
3 Te 0.0000 0.0000 0.5754 x3
4 Se 0.0000 0.0000 0.7593 x3

Main lines, by intensity (2θ from 15° to 90°):
2θ (°), d (Å), I (rel.)
31.22, 2.865, 100
25.46, 3.498, 73
42.62, 2.121, 48
36.81, 2.442, 45
46.78, 1.942, 24
53.77, 1.705, 21


The following is a theoretical powder X-ray diffraction pattern of Pr3Bi. It was derived from a PBE-relaxed structure, using CuKα.
Peak positions follow from Bragg's law for the DFT cell and can differ from measured ones.

Crystal structure
a = 6.763 Å, b = 4.260 Å, c = 9.947 Å
α = 90.00°, β = 99.52°, γ = 90.00°
Space group P2_1/m (No. 11)
One atom of each set of equivalent atoms:
1 Pr 0.082 0.250 0.354 x2
2 Pr 0.270 0.750 0.092 x2
3 Pr 0.400 0.750 0.625 x2
4 Bi 0.218 0.250 0.842 x2

Main lines, by intensity (2θ from 15° to 90°):
2θ (°), d (Å), I (rel.)
27.74, 3.216, 100
34.16, 2.625, 51
36.63, 2.453, 31
42.44, 2.130, 19
29.68, 3.010, 19
29.80, 2.998, 15


The following is a theoretical powder X-ray diffraction pattern of HfTlSe2. It was derived from a PBE-relaxed structure, using CuKα.
Peak positions follow from Bragg's law for the DFT cell and can differ from measured ones.

Crystal structure
a = 3.540 Å, b = 6.719 Å, c = 9.281 Å
α = 87.70°, β = 79.04°, γ = 74.73°
Space group P1 (No. 1)
One atom of each set of equivalent atoms:
1 Hf 0.000 0.000 0.000 x1
2 Hf 0.190 0.531 0.088 x1
3 Tl 0.076 0.313 0.546 x1
4 Tl 0.800 0.830 0.537 x1
5 Se 0.442 0.248 0.868 x1
6 Se 0.485 0.820 0.210 x1
7 Se 0.704 0.712 0.878 x1
8 Se 0.748 0.283 0.221 x1

Main lines, by intensity (2θ from 15° to 90°):
2θ (°), d (Å), I (rel.)
35.88, 2.503, 100
19.49, 4.555, 84
29.37, 3.041, 77
36.10, 2.488, 61
30.00, 2.979, 61
26.56, 3.356, 47